[1]
For MgFeAs2O7, a crystal structure in the Materials Project, relaxed with PBE+U gives the theoretical powder diffractogram in this record (Cu Kα (λ = 1.5418 Å)).
Neutral-atom scattering factors, no anomalous dispersion.

Main lines, low angle first (10 to 90 degrees two-theta):
hkl 1 1 0, 2θ 16.17, I 430; hkl 0 0 1, 2θ 17.13, I 390; hkl 0 2 0, 2θ 20.85, I 579; hkl 2 0 -1, 2θ 26.06, I 1000; hkl 0 2 1, 2θ 27.11, I 323; hkl 2 2 -1, 2θ 33.56, I 257

a = 7.4547 Å, b = 8.5231 Å, c = 5.3920 Å
α = 90.00°, β = 106.29°, γ = 90.00°
Space group C2 (No. 5)
Unique sites:
Mg 0.0000 0.0000 0.0000 (multiplicity 2)
Fe 0.0000 0.9651 0.5000 (multiplicity 2)
As 0.1803 0.3319 0.9034 (multiplicity 4)
O 0.0000 0.4343 0.0000 (multiplicity 2)
O 0.0911 0.1544 0.7828 (multiplicity 4)
O 0.1330 0.8265 0.8239 (multiplicity 4)
O 0.2401 0.9490 0.3000 (multiplicity 4)

[2]
For Sr4MgTiFe2As2O6, a crystal structure in the Materials Project, relaxed with PBE+U gives the theoretical powder diffractogram in this record (Cu Kα (λ = 1.5418 Å)).
Neutral-atom scattering factors, no anomalous dispersion.

Main lines, low angle first (10 to 90 degrees two-theta):
hkl 1 0 4, 2θ 30.77, I 1000; hkl 1 1 0, 2θ 31.51, I 449; hkl 1 1 4, 2θ 38.24, I 277; hkl 1 0 6, 2θ 39.16, I 289; hkl 2 0 0, 2θ 45.16, I 552; hkl 2 1 4, 2θ 55.65, I 369

a = 4.0154 Å, b = 4.0154 Å, c = 16.8373 Å
α = 90.00°, β = 90.00°, γ = 90.00°
Space group P4mm (No. 99)
Unique sites:
Sr 0.0000 0.0000 0.0000 (multiplicity 1)
Sr 0.0000 0.0000 0.1916 (multiplicity 1)
Sr 0.5000 0.5000 0.5954 (multiplicity 1)
Sr 0.5000 0.5000 0.8268 (multiplicity 1)
Mg 0.5000 0.5000 0.0840 (multiplicity 1)
Ti 0.0000 0.0000 0.7119 (multiplicity 1)
Fe 0.0000 0.5000 0.4047 (multiplicity 2)
As 0.0000 0.0000 0.5056 (multiplicity 1)
As 0.5000 0.5000 0.3091 (multiplicity 1)
O 0.0000 0.0000 0.8185 (multiplicity 1)
O 0.0000 0.5000 0.1040 (multiplicity 2)
O 0.0000 0.5000 0.6939 (multiplicity 2)
O 0.5000 0.5000 0.9600 (multiplicity 1)